Theoretical PXRD pattern of GaNiRh2O6 for Cu Ka, from the GGA+U geometry in Alexandria.

Structural model:
Unit cell a=5.143 b=5.143 c=4.728 alpha=90.00 beta=90.00 gamma=90.00
Atoms (fractional coordinates):
Ga (0.000, 0.000, 0.000)
Ni (0.500, 0.500, 0.012)
Rh (0.000, 0.500, 0.375)
Rh (0.500, 0.000, 0.375)
O (0.000, 0.000, 0.621)
O (0.245, 0.245, 0.179)
O (0.245, 0.755, 0.179)
O (0.500, 0.500, 0.614)
O (0.755, 0.245, 0.179)
O (0.755, 0.755, 0.179)

Top 6 peaks for 5° ≤ 2θ ≤ 70°, by intensity:
2θ (°)	I/Imax
31.0	100.0
34.9	37.6
18.8	34.8
60.2	29.1
45.8	28.5
50.2	24.9